This entry pairs a crystal structure of Np2UMnN4 with its computed powder diffraction line list. Radiation: CuKα. Structure: a crystal structure in Alexandria, relaxed with GGA-PBE.
Peak positions follow from Bragg's law for the DFT cell and can differ from measured ones.

Atomic structure:
```
data_Np2UMnN4
_chemical_formula_sum 'Np8 U4 Mn4 N16'
_cell_length_a 3.284
_cell_length_b 11.247
_cell_length_c 11.351
_cell_angle_alpha 90.00
_cell_angle_beta 90.00
_cell_angle_gamma 90.00
_space_group_name_H-M_alt 'C m c m'
_space_group_IT_number 63
_space_group_name_Hall '-C 2c 2'
loop_
_atom_site_label
_atom_site_fract_x
_atom_site_fract_y
_atom_site_fract_z
Np1 0.000 0.133 0.056
U1 0.000 0.392 0.250
Mn1 0.000 0.347 0.750
N1 0.000 0.045 0.250
N2 0.000 0.221 0.628
N3 0.000 0.500 0.000
```

Main lines, sorted by position (5 to 70 degrees two-theta):
(hkl)	2θ (°)	d_spacing	intensity
0 2 3	28.4	3.139	1000
1 1 1	29.4	3.038	234
0 0 4	31.5	2.838	160
0 4 0	31.8	2.812	538
1 1 2	32.5	2.756	810
1 3 1	37.2	2.414	312
1 3 2	39.8	2.265	571
1 1 5	49.5	1.842	305
1 5 2	51.8	1.764	247
0 6 3	54.6	1.680	178
1 3 5	54.9	1.672	225
2 2 3	64.0	1.455	223